# Ba2MnAgO4
Calculated X-ray powder pattern, Cu Kα (weighted mean of Kα1 and Kα2). Input: DFT lattice parameters and positions (PBE+U).
Lines closer than 0.1° are merged.

Structure:
Lattice parameters (Å, degrees): 5.727 5.727 5.727 114.36 114.36 100.09
Positions (direct):
Ba  0.000  0.000  0.000
Ba  0.750  0.250  0.500
Mn  0.500  0.500  0.000
Ag  0.250  0.750  0.500
O  0.218  0.186  0.589
O  0.371  0.782  0.967
O  0.596  0.629  0.411
O  0.814  0.404  0.033

Main lines, by angle (5° ≤ 2θ ≤ 70°):
d/Å	2theta	I (rel.)
3.104	28.76	47
2.819	31.74	100
2.195	41.12	29
1.839	49.58	7
1.732	52.86	44
1.582	58.32	19
1.552	59.56	8
1.410	66.31	11
1.388	67.46	10
1.360	69.08	10